This entry pairs a crystal structure of K3HgAs with its computed powder diffraction line list. Radiation: λ = 1.5418 Å (Cu Kα). Structure: a GGA-PBE-relaxed structure.
Peak positions follow from Bragg's law for the DFT cell and can differ from measured ones.

Crystal structure
a b c (Å): 8.416 8.416 8.416
angles (deg): 103.11 110.44 115.09
Sites, in units of the cell vectors:
K 0.193 0.055 0.249
K 0.193 0.445 0.638
K 0.219 0.580 0.140
K 0.440 0.080 0.860
K 0.807 0.555 0.362
K 0.807 0.945 0.751
Hg 0.665 0.446 0.719
Hg 0.727 0.946 0.281
As 0.049 0.723 0.827
As 0.896 0.223 0.173

Principal peaks in the range 10 to 90 degrees two-theta, in order of rising 2θ:
| d/Å | 2theta | I_rel |
| --- | --- | --- |
| 6.579 | 13.46 | 100 |
| 5.233 | 16.94 | 71 |
| 4.801 | 18.48 | 26 |
| 4.096 | 21.70 | 72 |
| 3.929 | 22.63 | 27 |
| 3.538 | 25.17 | 71 |
| 3.288 | 27.12 | 33 |
| 2.873 | 31.13 | 44 |
| 2.615 | 34.29 | 47 |
| 2.534 | 35.43 | 28 |
| 2.519 | 35.65 | 43 |
| 1.934 | 46.98 | 31 |